1.
The following is a simulated X-ray diffraction stick pattern of AcSm3C8. It was derived from a crystal structure in Alexandria, relaxed with PBE, using Cu Kα.
Peak positions follow from Bragg's law for the DFT cell and can differ from measured ones.

Cell lengths 7.155, 7.155, 8.061 Å; angles 90.00, 90.00, 90.00 degrees
Space group I-42m (No. 121)
Unique sites:
Ac 0.000 0.000 0.000
Sm 0.000 0.000 0.500
Sm 0.000 0.500 0.250
C 0.176 0.176 0.260
C 0.228 0.228 0.654

Top 12 peaks for 2θ from 10° to 80°, sorted by position:
- 2θ 24.89, d = 3.577 Å, rel. 56
- 2θ 28.31, d = 3.152 Å, rel. 100
- 2θ 35.49, d = 2.530 Å, rel. 33
- 2θ 44.98, d = 2.015 Å, rel. 8
- 2θ 46.00, d = 1.973 Å, rel. 58
- 2θ 51.06, d = 1.789 Å, rel. 11
- 2θ 52.09, d = 1.756 Å, rel. 19
- 2θ 57.61, d = 1.600 Å, rel. 13
- 2θ 58.56, d = 1.576 Å, rel. 13
- 2θ 59.41, d = 1.556 Å, rel. 12
- 2θ 71.15, d = 1.325 Å, rel. 15
- 2θ 75.94, d = 1.253 Å, rel. 14


2.
The following is a simulated X-ray diffraction stick pattern of Ac3SmC8. It was derived from a crystal structure in Alexandria, relaxed with PBE, using Cu Kα.
Peak positions follow from Bragg's law for the DFT cell and can differ from measured ones.

Cell lengths 10.830, 10.842, 8.090 Å; angles 90.00, 90.00, 90.00 degrees
Space group Fmm2 (No. 42)
Unique sites:
Ac 0.000 0.000 0.000
Ac 0.250 0.250 0.251
Sm 0.000 0.000 0.500
C 0.000 0.160 0.710
C 0.000 0.239 0.126
C 0.160 0.000 0.289
C 0.239 0.000 0.873

Top 12 peaks for 2θ from 10° to 80°, sorted by position:
- 2θ 23.22, d = 3.831 Å, rel. 65
- 2θ 27.52, d = 3.241 Å, rel. 100
- 2θ 33.07, d = 2.709 Å, rel. 36
- 2θ 43.54, d = 2.079 Å, rel. 64
- 2θ 47.46, d = 1.916 Å, rel. 12
- 2θ 51.06, d = 1.789 Å, rel. 21
- 2θ 53.48, d = 1.713 Å, rel. 16
- 2θ 55.74, d = 1.649 Å, rel. 14
- 2θ 56.81, d = 1.621 Å, rel. 13
- 2θ 66.36, d = 1.409 Å, rel. 18
- 2θ 72.22, d = 1.308 Å, rel. 15
- 2θ 76.17, d = 1.250 Å, rel. 12


3.
The following is a simulated X-ray diffraction stick pattern of Ac4Sn2C. It was derived from a crystal structure in Alexandria, relaxed with PBE, using Cu Kα.
Peak positions follow from Bragg's law for the DFT cell and can differ from measured ones.

Cell lengths 5.314, 5.314, 17.566 Å; angles 90.00, 90.00, 90.00 degrees
Space group I4/mmm (No. 139)
Unique sites:
Ac 0.000 0.000 0.167
Ac 0.000 0.500 0.000
Sn 0.000 0.000 0.362
C 0.000 0.000 0.000

Top 12 peaks for 2θ from 10° to 80°, sorted by position:
- 2θ 10.07, d = 8.783 Å, rel. 16
- 2θ 22.60, d = 3.935 Å, rel. 14
- 2θ 25.79, d = 3.455 Å, rel. 100
- 2θ 30.53, d = 2.928 Å, rel. 49
- 2θ 31.33, d = 2.855 Å, rel. 100
- 2θ 33.74, d = 2.657 Å, rel. 69
- 2θ 46.13, d = 1.968 Å, rel. 55
- 2θ 48.45, d = 1.879 Å, rel. 25
- 2θ 55.69, d = 1.650 Å, rel. 25
- 2θ 57.96, d = 1.591 Å, rel. 16
- 2θ 58.36, d = 1.581 Å, rel. 26
- 2θ 58.84, d = 1.569 Å, rel. 35


4.
The following is a simulated X-ray diffraction stick pattern of Ac12Sn6C. It was derived from a crystal structure in Alexandria, relaxed with PBE, using Cu Kα.
Peak positions follow from Bragg's law for the DFT cell and can differ from measured ones.

Cell lengths 13.0823, 13.0823, 15.0503 Å; angles 90.00, 90.00, 120.00 degrees
Space group R-3 (No. 148, hexagonal axes)
Unique sites:
Ac 0.0309 0.1939 0.3864
Ac 0.0346 0.8485 0.8937
Sn 0.0045 0.3911 0.2498
C 0.0000 0.0000 0.0000

Top 12 peaks for 2θ from 10° to 80°, sorted by position:
- 2θ 21.58, d = 4.119 Å, rel. 20
- 2θ 23.91, d = 3.722 Å, rel. 19
- 2θ 24.94, d = 3.571 Å, rel. 57
- 2θ 27.27, d = 3.271 Å, rel. 27
- 2θ 29.03, d = 3.076 Å, rel. 74
- 2θ 30.84, d = 2.900 Å, rel. 21
- 2θ 31.66, d = 2.826 Å, rel. 28
- 2θ 32.69, d = 2.740 Å, rel. 100
- 2θ 36.52, d = 2.461 Å, rel. 17
- 2θ 44.95, d = 2.017 Å, rel. 16
- 2θ 51.50, d = 1.774 Å, rel. 18
- 2θ 58.31, d = 1.582 Å, rel. 16


5.
The following is a simulated X-ray diffraction stick pattern of AcTlC. It was derived from a crystal structure in Alexandria, relaxed with PBE, using Cu Kα.
Peak positions follow from Bragg's law for the DFT cell and can differ from measured ones.

Cell lengths 8.680, 4.538, 8.532 Å; angles 90.00, 109.86, 90.00 degrees
Space group C2/m (No. 12)
Unique sites:
Ac 0.090 0.000 0.317
Tl 0.181 0.500 0.062
C 0.080 0.500 0.527

Top 12 peaks for 2θ from 10° to 80°, sorted by position:
- 2θ 11.03, d = 8.025 Å, rel. 17
- 2θ 25.29, d = 3.521 Å, rel. 14
- 2θ 26.66, d = 3.343 Å, rel. 24
- 2θ 27.68, d = 3.222 Å, rel. 53
- 2θ 28.92, d = 3.087 Å, rel. 100
- 2θ 33.50, d = 2.675 Å, rel. 16
- 2θ 36.84, d = 2.440 Å, rel. 53
- 2θ 39.72, d = 2.269 Å, rel. 24
- 2θ 43.84, d = 2.065 Å, rel. 24
- 2θ 49.11, d = 1.855 Å, rel. 23
- 2θ 50.64, d = 1.802 Å, rel. 20
- 2θ 70.20, d = 1.341 Å, rel. 15